Diffraction record for TmSc3Sn2C2. The X-ray diffraction stick pattern is simulated, not measured: it uses the PBE geometry in OQMD and CuKα.

Peak list (8 most intense, 2θ from 10° to 90°, by intensity)
- 35.2°, rel. 100
- 30.2°, rel. 25
- 53.6°, rel. 21
- 66.1°, rel. 19
- 35.7°, rel. 19
- 47.4°, rel. 18
- 63.8°, rel. 17
- 65.7°, rel. 16

Crystal structure
```
8
Lattice="3.422 0.000 0.000 -1.711 2.964 0.000 0.000 0.000 15.082" Properties=species:S:1:pos:R:3 pbc="T T T"
Tm 0.000 0.000 0.000
Sc 0.000 0.000 9.971
Sc 1.711 0.988 2.538
Sc 1.711 0.988 7.568
Sn 0.000 0.000 5.057
Sn 1.711 0.988 12.453
C 0.000 1.976 1.334
C 0.000 1.976 8.772
```

Diffraction record for TmScSnC. The X-ray diffraction stick pattern is simulated, not measured: it uses the PBE geometry in OQMD and CuKα.

Peak list (8 most intense, 2θ from 10° to 90°, by intensity)
- 34.7°, rel. 100
- 29.7°, rel. 22
- 52.8°, rel. 21
- 65.1°, rel. 20
- 35.3°, rel. 19
- 32.0°, rel. 18
- 64.7°, rel. 16
- 62.9°, rel. 16

Crystal structure
```
8
Lattice="3.469 0.000 0.000 -1.735 3.004 0.000 0.000 0.000 15.276" Properties=species:S:1:pos:R:3 pbc="T T T"
Tm 0.000 2.003 6.313
Tm 1.735 1.001 8.963
Sc 0.000 2.003 1.195
Sc 1.735 1.001 14.081
Sn 0.000 2.003 11.592
Sn 1.735 1.001 3.684
C 0.000 0.000 0.000
C 0.000 0.000 7.638
```

Diffraction record for Zr4Sc2Sn3C3. The X-ray diffraction stick pattern is simulated, not measured: it uses the PBE geometry in OQMD and CuKα.

Peak list (8 most intense, 2θ from 10° to 90°, by intensity)
- 35.7°, rel. 100
- 30.5°, rel. 21
- 54.3°, rel. 21
- 67.2°, rel. 19
- 36.5°, rel. 19
- 65.2°, rel. 17
- 66.7°, rel. 16
- 48.3°, rel. 16

Crystal structure
```
24
Lattice="5.071 -2.928 0.000 5.071 2.928 0.000 -3.392 0.000 14.757" Properties=species:S:1:pos:R:3 pbc="T T T"
Zr 0.845 0.505 1.228
Zr 0.854 0.480 6.151
Zr -0.851 -0.505 8.606
Zr -0.841 -0.480 13.530
Zr 7.591 0.480 1.228
Zr 7.601 0.505 6.151
Zr 5.896 -0.480 8.606
Zr 5.905 -0.505 13.529
Sc 4.242 0.480 1.233
Sc 4.204 0.480 6.145
Sc 2.546 -0.480 8.612
Sc 2.508 -0.480 13.524
Sn 4.223 2.434 3.689
Sn 0.845 0.483 11.058
Sn 2.541 -0.483 3.680
Sn 4.210 0.483 11.077
Sn 5.905 -0.483 3.699
Sn 2.527 -2.434 11.068
C 2.535 1.464 0.000
C 2.517 1.486 7.379
C 5.929 1.486 0.000
C 0.840 -1.464 7.379
C 4.213 -1.486 0.000
C 4.233 -1.486 7.379
```

Diffraction record for ZrScSnC. The X-ray diffraction stick pattern is simulated, not measured: it uses the PBE geometry in OQMD and CuKα.

Peak list (8 most intense, 2θ from 10° to 90°, by intensity)
- 35.7°, rel. 100
- 30.6°, rel. 23
- 54.4°, rel. 21
- 67.2°, rel. 19
- 36.5°, rel. 19
- 48.3°, rel. 17
- 65.2°, rel. 17
- 66.8°, rel. 16

Crystal structure
```
8
Lattice="3.376 0.000 0.000 -1.688 2.923 0.000 0.000 0.000 14.779" Properties=species:S:1:pos:R:3 pbc="T T T"
Zr 0.000 0.000 2.453
Zr 0.000 0.000 12.327
Sc 1.688 0.974 4.913
Sc 1.688 0.974 9.866
Sn 0.000 0.000 7.390
Sn 1.688 0.974 0.000
C 0.000 1.949 3.666
C 0.000 1.949 11.113
```